Record 1
Li6CaAg12: simulated powder X-ray diffraction pattern (Cu Kα X-rays), based on the GGA-PBE geometry in Alexandria.

Structural model:
Unit cell a=11.7952 b=11.7952 c=8.6491 alpha=90.00 beta=90.00 gamma=120.00
Space group R-3m (No. 166, hexagonal axes)
Inequivalent atoms, fractional coordinates:
Li (0.0405, 0.5202, 0.2459)
Ca (0.0000, 0.0000, 0.0000)
Ag (0.0000, 0.3822, 0.5000)
Ag (0.0827, 0.1655, 0.3174)

The 6 most intense peaks (15° ≤ 2θ ≤ 90°), in order of rising 2θ:
2θ (°)	I_rel	(hkl)
22.32	38	0 1 2
33.28	100	1 3 1
34.63	48	1 1 3
39.85	20	3 2 1
41.02	49	0 3 3
49.33	35	5 0 2

***

Record 2
Sr5Ac2: simulated powder X-ray diffraction pattern (Cu Kα X-rays), based on the GGA-PBE geometry in Alexandria.

Structural model:
Unit cell a=4.140 b=4.140 c=41.952 alpha=90.00 beta=90.00 gamma=90.00
Space group I4/mmm (No. 139)
Inequivalent atoms, fractional coordinates:
Sr (0.000, 0.000, 0.000)
Sr (0.000, 0.000, 0.149)
Sr (0.000, 0.000, 0.426)
Ac (0.000, 0.000, 0.280)

The 6 most intense peaks (15° ≤ 2θ ≤ 90°), in order of rising 2θ:
2θ (°)	I_rel	(hkl)
26.16	100	1 0 7
29.82	16	0 0 14
30.54	35	1 1 0
43.20	23	1 1 14
51.67	31	2 1 7
53.82	13	2 0 14

***

Record 3
ThGa5Ir2Ru: simulated powder X-ray diffraction pattern (Cu Kα X-rays), based on the GGA-PBE geometry in Alexandria.

Structural model:
Unit cell a=4.796 b=4.796 c=7.552 alpha=90.00 beta=90.00 gamma=90.00
Space group P4/mmm (No. 123)
Inequivalent atoms, fractional coordinates:
Th (0.000, 0.000, 0.000)
Ga (0.000, 0.500, 0.321)
Ga (0.500, 0.500, 0.000)
Ir (0.500, 0.500, 0.304)
Ru (0.000, 0.000, 0.500)

The 6 most intense peaks (15° ≤ 2θ ≤ 90°), in order of rising 2θ:
2θ (°)	I_rel	(hkl)
26.28	51	1 1 0
30.12	93	1 0 2
35.64	49	0 0 3
37.51	100	2 0 0
48.83	50	2 1 2
52.72	42	2 0 3

***

Record 4
Cs3U2S5Br2: simulated powder X-ray diffraction pattern (Cu Kα X-rays), based on the GGA-PBE geometry in Alexandria.

Structural model:
Unit cell a=5.278 b=5.278 c=29.293 alpha=90.00 beta=90.00 gamma=90.00
Space group I4/mmm (No. 139)
Inequivalent atoms, fractional coordinates:
Cs (0.000, 0.000, 0.000)
Cs (0.000, 0.000, 0.179)
U (0.000, 0.000, 0.411)
S (0.000, 0.000, 0.500)
S (0.000, 0.500, 0.093)
Br (0.000, 0.000, 0.310)

The 6 most intense peaks (15° ≤ 2θ ≤ 90°), in order of rising 2θ:
2θ (°)	I_rel	(hkl)
17.07	29	1 0 1
22.68	89	1 0 5
23.84	100	1 1 0
27.20	43	1 0 7
33.97	69	2 0 0
41.23	39	2 1 5

***

Record 5
La3Nd6Dy: simulated powder X-ray diffraction pattern (Cu Kα X-rays), based on the GGA-PBE geometry in Alexandria.

Structural model:
Unit cell a=12.283 b=6.901 c=8.962 alpha=90.00 beta=107.29 gamma=90.00
Space group C2/m (No. 12)
Inequivalent atoms, fractional coordinates:
La (0.000, 0.000, 0.000)
La (0.025, 0.500, 0.820)
Nd (0.202, 0.500, 0.510)
Nd (0.249, 0.275, 0.179)
Dy (0.000, 0.000, 0.500)

The 6 most intense peaks (15° ≤ 2θ ≤ 90°), in order of rising 2θ:
2θ (°)	I_rel	(hkl)
29.01	100	3 1 -2
30.05	92	2 2 0
30.49	100	4 0 0
31.37	74	0 0 3
33.36	93	0 2 2
53.88	41	6 2 0

***

Record 6
NbTlSe4: simulated powder X-ray diffraction pattern (Cu Kα X-rays), based on the GGA-PBE geometry in Alexandria.

Structural model:
Unit cell a=14.781 b=7.761 c=5.876 alpha=90.00 beta=91.39 gamma=90.00
Space group C2/m (No. 12)
Inequivalent atoms, fractional coordinates:
Nb (0.027, 0.000, 0.234)
Tl (0.220, 0.500, 0.255)
Se (0.000, 0.268, 0.500)
Se (0.102, 0.213, 0.892)
Se (0.198, 0.000, 0.260)

The 6 most intense peaks (15° ≤ 2θ ≤ 90°), in order of rising 2θ:
2θ (°)	I_rel	(hkl)
25.95	100	2 2 0
28.22	62	4 0 -1
29.98	64	2 2 -1
33.09	48	2 0 2
38.44	90	0 2 2
40.04	51	6 0 1

***

Record 7
Na3Tl2Pb3: simulated powder X-ray diffraction pattern (Cu Kα X-rays), based on the GGA-PBE geometry in Alexandria.

Structural model:
Unit cell a=16.246 b=5.453 c=5.688 alpha=90.00 beta=110.39 gamma=90.00
Space group C2/m (No. 12)
Inequivalent atoms, fractional coordinates:
Na (0.000, 0.000, 0.000)
Na (0.131, 0.000, 0.631)
Tl (0.249, 0.000, 0.249)
Pb (0.000, 0.500, 0.500)
Pb (0.124, 0.500, 0.125)

The 6 most intense peaks (15° ≤ 2θ ≤ 90°), in order of rising 2θ:
2θ (°)	I_rel	(hkl)
17.27	36	1 1 0
31.45	28	2 0 -2
32.72	100	3 1 1
32.85	25	0 2 0
46.12	20	2 2 -2
58.56	19	3 3 1

***

Record 8
Ni11SnB5: simulated powder X-ray diffraction pattern (Cu Kα X-rays), based on the GGA-PBE geometry in Alexandria.

Structural model:
Unit cell a=7.716 b=9.310 c=5.060 alpha=90.00 beta=105.02 gamma=90.00
Space group C2/m (No. 12)
Inequivalent atoms, fractional coordinates:
Ni (0.000, 0.000, 0.000)
Ni (0.099, 0.230, 0.833)
Ni (0.165, 0.500, 0.873)
Ni (0.175, 0.365, 0.409)
Sn (0.000, 0.000, 0.500)
B (0.000, 0.500, 0.500)
B (0.174, 0.169, 0.215)

The 6 most intense peaks (15° ≤ 2θ ≤ 90°), in order of rising 2θ:
2θ (°)	I_rel	(hkl)
36.91	64	1 1 -2
37.47	100	3 1 0
37.96	79	1 3 1
43.04	40	0 4 1
45.95	44	2 4 0
47.23	77	2 4 -1

***

Record 9
SmPu4S5: simulated powder X-ray diffraction pattern (Cu Kα X-rays), based on the GGA-PBE geometry in Alexandria.

Structural model:
Unit cell a=3.977 b=5.617 c=19.845 alpha=90.00 beta=90.00 gamma=90.00
Space group Immm (No. 71)
Inequivalent atoms, fractional coordinates:
Sm (0.000, 0.000, 0.000)
Pu (0.000, 0.000, 0.200)
Pu (0.000, 0.000, 0.401)
S (0.000, 0.500, 0.000)
S (0.000, 0.500, 0.199)
S (0.000, 0.500, 0.398)

The 6 most intense peaks (15° ≤ 2θ ≤ 90°), in order of rising 2θ:
2θ (°)	I_rel	(hkl)
27.50	100	1 1 0
31.86	98	1 0 5
45.66	60	2 0 0
54.14	50	2 1 5
56.76	25	2 2 0
75.69	28	3 0 5

***

Record 10
CaCd5Hg7: simulated powder X-ray diffraction pattern (Cu Kα X-rays), based on the GGA-PBE geometry in Alexandria.

Structural model:
Unit cell a=6.149 b=10.597 c=9.959 alpha=90.00 beta=90.00 gamma=90.00
Space group Imm2 (No. 44)
Inequivalent atoms, fractional coordinates:
Ca (0.000, 0.000, 0.000)
Cd (0.000, 0.500, 0.236)
Cd (0.249, 0.251, 0.744)
Hg (0.000, 0.000, 0.359)
Hg (0.000, 0.000, 0.660)
Hg (0.000, 0.320, 0.996)
Hg (0.000, 0.336, 0.491)
Hg (0.000, 0.500, 0.750)

The 6 most intense peaks (15° ≤ 2θ ≤ 90°), in order of rising 2θ:
2θ (°)	I_rel	(hkl)
29.16	45	1 3 0
34.35	100	1 3 2
38.37	88	2 2 2
38.49	34	0 4 2
39.99	62	1 1 4
63.76	33	1 3 6